For SrSiPd, a structure optimized by DFT (GGA-PBE) gives the computed powder XRD pattern in this record (Cu Kα).
Intensities are scaled so that the largest is 100.

Peak list (12 most intense, 2θ from 5° to 70°, low angle first)
| 2θ (°) | d (Å) | intensity | (hkl) |
| --- | --- | --- | --- |
| 19.1 | 4.645 | 6 | 1 1 0 |
| 23.5 | 3.793 | 14 | 1 1 1 |
| 30.4 | 2.938 | 100 | 2 0 1 |
| 33.4 | 2.682 | 88 | 2 1 1 |
| 41.2 | 2.190 | 13 | 2 2 1 |
| 43.6 | 2.078 | 6 | 3 1 0 |
| 45.8 | 1.981 | 16 | 3 1 1 |
| 52.1 | 1.756 | 54 | 3 2 1 |
| 56.0 | 1.642 | 14 | 4 0 0 |
| 57.9 | 1.593 | 13 | 4 0 1 |
| 61.5 | 1.507 | 14 | 3 3 1 |
| 65.1 | 1.434 | 17 | 4 1 2 |

Crystal structure
Lattice parameters (Å, degrees): 6.570 6.570 6.570 90.00 90.00 90.00
Fractional positions:
Sr 0.129 0.129 0.129
Sr 0.371 0.871 0.629
Sr 0.629 0.371 0.871
Sr 0.871 0.629 0.371
Si 0.163 0.337 0.663
Si 0.337 0.663 0.163
Si 0.663 0.163 0.337
Si 0.837 0.837 0.837
Pd 0.090 0.590 0.910
Pd 0.410 0.410 0.410
Pd 0.590 0.910 0.090
Pd 0.910 0.090 0.590